No. 1
Structure and computed PXRD pattern of Sr4In13Au9 (a crystal structure in OQMD, relaxed with PBE; Cu Kα X-rays).

Atomic structure:
Cell lengths 12.859, 12.859, 4.454 Å; angles 90.00, 90.00, 120.00 degrees
Fractional positions:
Sr 0.000 0.000 0.000
Sr 0.539 0.079 0.500
Sr 0.539 0.461 0.500
Sr 0.921 0.461 0.500
In 0.040 0.325 0.000
In 0.040 0.715 0.000
In 0.250 0.499 0.500
In 0.250 0.750 0.500
In 0.267 0.134 0.500
In 0.285 0.325 0.000
In 0.285 0.960 0.000
In 0.501 0.750 0.500
In 0.667 0.333 0.000
In 0.675 0.715 0.000
In 0.675 0.960 0.000
In 0.866 0.134 0.500
In 0.866 0.733 0.500
Au 0.118 0.236 0.500
Au 0.118 0.882 0.500
Au 0.157 0.578 0.000
Au 0.422 0.578 0.000
Au 0.422 0.843 0.000
Au 0.426 0.213 0.000
Au 0.764 0.882 0.500
Au 0.787 0.213 0.000
Au 0.787 0.574 0.000

The 10 most intense peaks (2θ = 15–90°), by intensity:
Position (°2θ)	d (Å)	I (rel.)
31.37	2.852	100
40.71	2.216	95
42.16	2.143	61
29.19	3.059	58
40.51	2.227	56
35.36	2.538	54
59.90	1.544	43
35.12	2.555	39
45.53	1.992	35
23.97	3.712	35


No. 2
Structure and computed PXRD pattern of NaLaHgS3 (a crystal structure in OQMD, relaxed with PBE; Cu Kα X-rays).

Atomic structure:
Cell lengths 12.152, 4.221, 11.838 Å; angles 90.00, 90.00, 90.00 degrees
Fractional positions:
Na 0.133 0.250 0.013
Na 0.367 0.750 0.513
Na 0.633 0.250 0.487
Na 0.867 0.750 0.987
La 0.039 0.250 0.678
La 0.461 0.750 0.178
La 0.539 0.250 0.822
La 0.961 0.750 0.322
Hg 0.239 0.250 0.295
Hg 0.261 0.750 0.795
Hg 0.739 0.250 0.205
Hg 0.761 0.750 0.705
S 0.059 0.750 0.851
S 0.082 0.250 0.430
S 0.222 0.750 0.161
S 0.278 0.250 0.661
S 0.418 0.750 0.930
S 0.441 0.250 0.351
S 0.559 0.750 0.649
S 0.582 0.250 0.070
S 0.722 0.750 0.339
S 0.778 0.250 0.839
S 0.918 0.750 0.570
S 0.941 0.250 0.149

The 10 most intense peaks (2θ = 15–90°), by intensity:
Position (°2θ)	d (Å)	I (rel.)
26.80	3.327	100
31.91	2.805	63
33.14	2.703	32
34.44	2.604	30
49.03	1.858	28
42.85	2.110	25
37.64	2.390	23
29.40	3.038	22
30.37	2.943	22
23.55	3.778	20


No. 3
Structure and computed PXRD pattern of NpCl4 (a crystal structure in OQMD, relaxed with PBE; Cu Kα X-rays).

Atomic structure:
Cell lengths 7.356, 7.356, 7.356 Å; angles 113.48, 109.34, 105.69 degrees
Fractional positions:
Np 0.000 0.249 0.249
Np 0.000 0.751 0.751
Cl 0.199 0.699 0.500
Cl 0.200 0.200 0.000
Cl 0.292 0.245 0.537
Cl 0.292 0.755 0.047
Cl 0.708 0.245 0.953
Cl 0.708 0.755 0.463
Cl 0.800 0.800 0.000
Cl 0.801 0.301 0.500

The 10 most intense peaks (2θ = 15–90°), by intensity:
Position (°2θ)	d (Å)	I (rel.)
29.92	2.987	100
26.43	3.372	72
19.99	4.443	61
39.19	2.299	54
33.16	2.701	54
20.88	4.254	53
40.17	2.245	46
36.77	2.444	45
22.03	4.034	42
49.93	1.826	41


No. 4
Structure and computed PXRD pattern of TbHoNi2B2N2 (a crystal structure in OQMD, relaxed with PBE; Cu Kα X-rays).

Atomic structure:
Cell lengths 3.493, 3.493, 7.507 Å; angles 90.00, 90.00, 90.00 degrees
Fractional positions:
Tb 0.000 0.000 0.000
Ho 0.500 0.500 0.335
Ni 0.000 0.500 0.668
Ni 0.500 0.000 0.668
B 0.000 0.000 0.508
B 0.500 0.500 0.829
N 0.000 0.000 0.313
N 0.500 0.500 0.024

The 10 most intense peaks (2θ = 15–90°), by intensity:
Position (°2θ)	d (Å)	I (rel.)
28.18	3.167	100
35.10	2.557	68
38.37	2.346	68
43.88	2.063	49
35.89	2.502	49
52.39	1.746	37
65.14	1.432	33
60.54	1.529	26
64.63	1.442	24
36.38	2.470	24


What is the formula in the first record?
Sr4In13Au9